Starting from the GGA-PBE geometry in Alexandria, the powder diffraction line list of NiICl2 was simulated for CuKα.

a b c (Å): 3.532 5.828 10.814
angles (deg): 79.34 89.48 88.38
Element x y z (fractional)
Ni1 0.000 0.000 0.000
Ni2 0.500 0.500 0.000
I1 0.058 0.494 0.499
I2 0.499 0.000 0.499
Cl1 0.000 0.707 0.875
Cl2 0.001 0.293 0.124
Cl3 0.500 0.207 0.875
Cl4 0.501 0.793 0.124

Peak list (10 most intense, 2θ from 10° to 80°, low angle first)
| d_spacing | intensity |
| --- | --- |
| 5.313 | 100 |
| 3.542 | 13 |
| 3.006 | 10 |
| 2.931 | 10 |
| 2.849 | 29 |
| 2.794 | 27 |
| 2.741 | 27 |
| 2.200 | 17 |
| 2.178 | 16 |
| 2.156 | 16 |


Starting from the GGA-PBE geometry in Alexandria, the powder diffraction line list of NpICl2 was simulated for CuKα.

a b c (Å): 3.961 5.441 7.842
angles (deg): 109.47 90.21 111.30
Element x y z (fractional)
Np1 0.000 0.000 0.000
I1 0.470 0.944 0.681
Cl1 0.292 0.584 0.004
Cl2 0.633 0.262 0.244

Peak list (10 most intense, 2θ from 10° to 80°, low angle first)
| d_spacing | intensity |
| --- | --- |
| 7.319 | 100 |
| 4.845 | 48 |
| 4.731 | 71 |
| 3.467 | 37 |
| 3.101 | 59 |
| 2.791 | 27 |
| 2.781 | 27 |
| 2.566 | 25 |
| 2.379 | 30 |
| 2.161 | 29 |


Starting from the GGA-PBE geometry in Alexandria, the powder diffraction line list of NpTl2I4Cl2 was simulated for CuKα.

a b c (Å): 8.150 8.150 7.534
angles (deg): 110.10 110.10 62.51
Element x y z (fractional)
Np1 0.000 0.000 0.000
Tl1 0.272 0.272 0.786
Tl2 0.728 0.728 0.214
I1 0.170 0.666 0.189
I2 0.334 0.830 0.811
I3 0.666 0.170 0.189
I4 0.830 0.334 0.811
Cl1 0.177 0.177 0.297
Cl2 0.823 0.823 0.703

Peak list (10 most intense, 2θ from 10° to 80°, low angle first)
| d_spacing | intensity |
| --- | --- |
| 7.050 | 30 |
| 6.899 | 82 |
| 4.460 | 70 |
| 3.988 | 80 |
| 3.525 | 31 |
| 3.468 | 71 |
| 2.795 | 100 |
| 2.547 | 39 |
| 2.533 | 25 |
| 2.114 | 26 |


Starting from the GGA-PBE geometry in Alexandria, the powder diffraction line list of Rb7I2ClO2 was simulated for CuKα.

a b c (Å): 14.026 14.026 14.026
angles (deg): 159.88 37.50 148.69
Element x y z (fractional)
Rb1 0.000 0.000 0.000
Rb2 0.077 0.468 0.609
Rb3 0.388 0.190 0.198
Rb4 0.397 0.473 0.925
Rb5 0.548 0.473 0.075
Rb6 0.860 0.468 0.391
Rb7 0.991 0.190 0.802
I1 0.489 0.688 0.802
I2 0.886 0.688 0.198
Cl1 0.678 0.178 0.500
O1 0.046 0.143 0.904
O2 0.239 0.143 0.096

Peak list (10 most intense, 2θ from 10° to 80°, low angle first)
| d_spacing | intensity |
| --- | --- |
| 4.820 | 33 |
| 3.640 | 74 |
| 3.602 | 69 |
| 3.497 | 48 |
| 3.014 | 43 |
| 3.000 | 41 |
| 2.838 | 100 |
| 2.656 | 35 |
| 2.451 | 45 |
| 1.688 | 41 |


Starting from the GGA-PBE geometry in Alexandria, the powder diffraction line list of S2IClO was simulated for CuKα.

a b c (Å): 4.450 4.450 4.625
angles (deg): 90.00 90.00 90.00
Element x y z (fractional)
S1 0.000 0.500 0.000
S2 0.500 0.000 0.000
I1 0.000 0.000 0.500
Cl1 0.500 0.500 0.500
O1 0.500 0.500 0.000

Peak list (10 most intense, 2θ from 10° to 80°, low angle first)
| d_spacing | intensity |
| --- | --- |
| 4.625 | 14 |
| 4.450 | 21 |
| 3.207 | 45 |
| 3.147 | 24 |
| 2.602 | 100 |
| 2.313 | 23 |
| 2.225 | 41 |
| 1.828 | 18 |
| 1.603 | 28 |
| 1.346 | 24 |